Diffraction record for Sm2Ho2Br5N. The powder X-ray diffraction pattern is computed, not measured: it uses a DFT-relaxed cell (GGA-PBE, OQMD) and Cu Kα, 1.54184 Å.

The 12 most intense peaks (5 to 70 degrees two-theta), low angle first:
| d/Å | Position (°2θ) | intensity |
| --- | --- | --- |
| 8.575 | 10.32 | 33 |
| 7.881 | 11.23 | 47 |
| 3.056 | 29.22 | 22 |
| 2.858 | 31.29 | 49 |
| 2.795 | 32.02 | 28 |
| 2.756 | 32.49 | 100 |
| 2.533 | 35.44 | 18 |
| 2.520 | 35.63 | 16 |
| 2.361 | 38.12 | 19 |
| 1.988 | 45.63 | 27 |
| 1.980 | 45.83 | 29 |
| 1.879 | 48.46 | 19 |

Structure:
Lattice parameters (Å, degrees): 9.021 9.021 8.109 103.33 103.33 24.04
Element x y z (fractional)
Sm: 0.141 0.141 0.073
Sm: 0.859 0.859 0.927
Ho: 0.499 0.499 0.197
Ho: 0.501 0.501 0.803
Br: 0.000 0.000 0.500
Br: 0.332 0.332 0.186
Br: 0.338 0.338 0.647
Br: 0.662 0.662 0.353
Br: 0.668 0.668 0.814
N: 0.000 0.000 0.000



Diffraction record for YHoBr2N. The powder X-ray diffraction pattern is computed, not measured: it uses a DFT-relaxed cell (GGA-PBE, OQMD) and Cu Kα, 1.54184 Å.

The 12 most intense peaks (5 to 70 degrees two-theta), low angle first:
| d/Å | Position (°2θ) | intensity |
| --- | --- | --- |
| 10.416 | 8.49 | 75 |
| 5.208 | 17.03 | 12 |
| 3.161 | 28.23 | 30 |
| 2.703 | 33.15 | 100 |
| 2.338 | 38.51 | 32 |
| 2.010 | 45.11 | 16 |
| 1.825 | 49.97 | 27 |
| 1.739 | 52.61 | 12 |
| 1.513 | 61.28 | 17 |
| 1.495 | 62.10 | 8 |
| 1.373 | 68.33 | 13 |
| 1.346 | 69.87 | 10 |

Structure:
Lattice parameters (Å, degrees): 3.651 3.651 10.416 90.00 90.00 120.00
Element x y z (fractional)
Y: 0.000 0.000 0.000
Ho: 0.667 0.333 0.753
Br: 0.000 0.000 0.567
Br: 0.667 0.333 0.188
N: 0.333 0.667 0.873



Diffraction record for YHoBr3N. The powder X-ray diffraction pattern is computed, not measured: it uses a DFT-relaxed cell (GGA-PBE, OQMD) and Cu Kα, 1.54184 Å.

The 12 most intense peaks (5 to 70 degrees two-theta), low angle first:
| d/Å | Position (°2θ) | intensity |
| --- | --- | --- |
| 9.495 | 9.31 | 75 |
| 9.046 | 9.78 | 100 |
| 4.530 | 19.60 | 36 |
| 3.320 | 26.85 | 45 |
| 3.172 | 28.13 | 41 |
| 2.931 | 30.49 | 26 |
| 2.891 | 30.93 | 41 |
| 2.750 | 32.56 | 72 |
| 2.553 | 35.15 | 32 |
| 2.322 | 38.79 | 30 |
| 2.185 | 41.31 | 36 |
| 2.090 | 43.28 | 32 |

Structure:
Lattice parameters (Å, degrees): 9.536 9.536 11.740 125.17 125.17 23.36
Element x y z (fractional)
Y: 0.136 0.136 0.285
Y: 0.864 0.864 0.715
Ho: 0.428 0.428 0.038
Ho: 0.572 0.572 0.962
Br: 0.035 0.035 0.751
Br: 0.212 0.212 0.119
Br: 0.330 0.330 0.490
Br: 0.670 0.670 0.510
Br: 0.788 0.788 0.881
Br: 0.965 0.965 0.249
N: 0.426 0.426 0.848
N: 0.574 0.574 0.152